This entry pairs a crystal structure of SrNi9As4 with its theoretical powder X-ray diffraction pattern. Radiation: copper Kα. Structure: a structure optimized by DFT (GGA-PBE).

Structure:
Cell lengths 8.2263, 8.2263, 8.2263 Å; angles 121.82, 121.82, 86.87 degrees
Fractional coordinates of all 28 atoms:
Sr  0.2500  0.2500  0.0000
Sr  0.7500  0.7500  0.0000
Ni  0.0000  0.5000  0.5000
Ni  0.0572  0.5572  0.2485
Ni  0.0723  0.7965  0.8688
Ni  0.1914  0.9428  0.5000
Ni  0.2035  0.0723  0.2758
Ni  0.2965  0.5723  0.8688
Ni  0.3086  0.8086  0.7515
Ni  0.4277  0.2965  0.7242
Ni  0.4428  0.6914  0.5000
Ni  0.5000  0.0000  0.5000
Ni  0.5572  0.3086  0.5000
Ni  0.5723  0.7035  0.2758
Ni  0.6914  0.1914  0.2485
Ni  0.7035  0.4277  0.1312
Ni  0.7965  0.9277  0.7242
Ni  0.8086  0.0572  0.5000
Ni  0.9277  0.2035  0.1312
Ni  0.9428  0.4428  0.7515
As  0.0479  0.2049  0.5000
As  0.2049  0.7049  0.1570
As  0.2951  0.4521  0.5000
As  0.4521  0.9521  0.1570
As  0.5479  0.0479  0.8430
As  0.7049  0.5479  0.5000
As  0.7951  0.2951  0.8430
As  0.9521  0.7951  0.5000

The 12 most intense peaks (10° ≤ 2θ ≤ 90°), sorted by position:
2theta, d_spacing, I_rel
15.7, 5.656, 28
33.9, 2.641, 21
35.5, 2.529, 29
37.6, 2.393, 46
38.7, 2.329, 100
45.7, 1.987, 92
46.9, 1.938, 58
47.1, 1.930, 26
47.5, 1.915, 65
48.3, 1.885, 27
55.3, 1.662, 17
82.9, 1.165, 19

---

This entry pairs a crystal structure of Na5B7C3 with its theoretical powder X-ray diffraction pattern. Radiation: copper Kα. Structure: a structure optimized by DFT (GGA-PBE).

Structure:
Cell lengths 9.0488, 9.0488, 13.3813 Å; angles 112.89, 112.89, 18.00 degrees
Fractional coordinates of all 30 atoms:
Na  0.0000  0.0000  0.0000
Na  0.0003  0.0003  0.4944
Na  0.1993  0.1993  0.3969
Na  0.2029  0.2029  0.8976
Na  0.3980  0.3980  0.7976
Na  0.4019  0.4019  0.2973
Na  0.5992  0.5992  0.2000
Na  0.6002  0.6002  0.6944
Na  0.7990  0.7990  0.5948
Na  0.8030  0.8030  0.0991
B  0.0295  0.0295  0.8071
B  0.0342  0.0342  0.3149
B  0.1771  0.1771  0.1016
B  0.2273  0.2273  0.6999
B  0.3599  0.3599  0.4648
B  0.4270  0.4270  0.5983
B  0.4366  0.4366  0.1214
B  0.5722  0.5722  0.8921
B  0.6318  0.6318  0.5079
B  0.6359  0.6359  0.0194
B  0.7680  0.7680  0.2822
B  0.7679  0.7679  0.7820
B  0.8398  0.8398  0.9270
B  0.9656  0.9656  0.6774
C  0.1644  0.1644  0.5726
C  0.2373  0.2373  0.2213
C  0.3714  0.3714  0.9912
C  0.5668  0.5668  0.3789
C  0.8303  0.8303  0.4059
C  0.9685  0.9685  0.1856

The 12 most intense peaks (10° ≤ 2θ ≤ 90°), sorted by position:
2theta, d_spacing, I_rel
35.0, 2.567, 11
36.2, 2.479, 17
41.0, 2.202, 50
42.1, 2.146, 100
42.2, 2.141, 38
56.8, 1.620, 10
63.5, 1.465, 17
77.1, 1.237, 13
79.2, 1.210, 8
79.3, 1.208, 8
80.7, 1.191, 10
81.5, 1.181, 8

---

This entry pairs a crystal structure of Na3PuPa3N8 with its theoretical powder X-ray diffraction pattern. Radiation: copper Kα. Structure: a structure optimized by DFT (GGA-PBE).

Structure:
Cell lengths 7.0007, 7.0007, 7.0007 Å; angles 60.97, 60.97, 60.97 degrees
Fractional coordinates of all 15 atoms:
Na  0.0000  0.5000  0.5000
Na  0.5000  0.0000  0.5000
Na  0.5000  0.5000  0.0000
Pu  0.5000  0.5000  0.5000
Pa  0.0000  0.0000  0.5000
Pa  0.0000  0.5000  0.0000
Pa  0.5000  0.0000  0.0000
N  0.2272  0.2272  0.2272
N  0.2386  0.7161  0.7161
N  0.2839  0.2839  0.7614
N  0.2839  0.7614  0.2839
N  0.7161  0.2386  0.7161
N  0.7161  0.7161  0.2386
N  0.7614  0.2839  0.2839
N  0.7728  0.7728  0.7728

The 12 most intense peaks (10° ≤ 2θ ≤ 90°), sorted by position:
2theta, d_spacing, I_rel
15.6, 5.674, 100
29.5, 3.027, 56
30.9, 2.893, 58
31.5, 2.837, 20
36.0, 2.493, 57
39.5, 2.282, 23
47.7, 1.908, 20
51.5, 1.776, 21
52.3, 1.750, 18
54.1, 1.695, 25
61.6, 1.505, 19
64.4, 1.446, 10

---

- Number 1 is which compound?
  SrNi9As4

---

- Number 1 is which compound?
  SrNi9As4